Structure and theoretical powder diffractogram of PmYCr2O8 (a DFT-relaxed cell (PBE+U, Alexandria); Cu Kα, 1.54184 Å).
Peak positions follow from Bragg's law for the DFT cell and can differ from measured ones.

Crystal structure
abc: 7.3094 7.3094 6.3545
angles: 90.00 90.00 90.00
Space group I-4m2 (No. 119)
Asymmetric unit:
Pm  0.0000  0.0000  0.0000
Y  0.0000  0.5000  0.7500
Cr  0.0000  0.0000  0.5000
Cr  0.0000  0.5000  0.2500
O  0.0000  0.1846  0.6697
O  0.0000  0.3197  0.0754

Principal peaks in the range 2θ from 5° to 70°, by angle:
Position (°2θ), d (Å), intensity
18.50, 4.796, 23
24.35, 3.655, 100
33.10, 2.707, 65
34.71, 2.584, 19
48.72, 1.869, 56
61.20, 1.515, 17